Diffraction record for HfNi2SnO6. The powder XRD pattern is calculated, not measured: it uses a cell relaxed with PBE+U and Cu Ka.
Neutral-atom scattering factors, no anomalous dispersion.

Peak list (6 most intense, 2θ from 10° to 80°, in order of rising 2θ)
2θ (°), d (Å), I_rel
23.14, 3.843, 74
31.83, 2.811, 100
34.05, 2.633, 93
47.30, 1.922, 39
51.77, 1.766, 57
59.56, 1.552, 37

Structural model:
a = 5.6488 Å, b = 5.6488 Å, c = 5.6488 Å
α = 55.56°, β = 55.56°, γ = 55.56°
Atoms (fractional coordinates):
Hf (0.0000, 0.0000, 0.0000)
Ni (0.2932, 0.2932, 0.2932)
Ni (0.7957, 0.7957, 0.7957)
Sn (0.4982, 0.4982, 0.4982)
O (0.0968, 0.7040, 0.3931)
O (0.2021, 0.5978, 0.8927)
O (0.3931, 0.0968, 0.7040)
O (0.5978, 0.8927, 0.2021)
O (0.7040, 0.3931, 0.0968)
O (0.8927, 0.2021, 0.5978)